Starting from a crystal structure in Alexandria, relaxed with GGA-PBE, the powder XRD pattern of PuU5P6 was calculated for Cu Kα (weighted mean of Kα1 and Kα2).

Top 10 peaks for 2θ from 15° to 90°, in order of rising 2θ:
2θ (°)  Rel. int.
27.7  100
32.1  91
46.0  67
54.5  50
57.1  12
57.2  12
67.1  11
74.0  11
76.3  27
85.2  19

Structure:
Lattice parameters (Å, degrees): 6.8309 6.8309 6.8425 99.58 99.58 119.98
Element x y z (fractional)
Pu: 0.0000 0.0000 0.0000
U: 0.1661 0.8339 0.5000
U: 0.3333 0.6667 0.0000
U: 0.5000 0.5000 0.5000
U: 0.6667 0.3333 0.0000
U: 0.8339 0.1661 0.5000
P: 0.0837 0.4182 0.2509
P: 0.2512 0.2512 0.7498
P: 0.4182 0.0837 0.2509
P: 0.5818 0.9163 0.7491
P: 0.7488 0.7488 0.2502
P: 0.9163 0.5818 0.7491



Starting from a crystal structure in Alexandria, relaxed with GGA-PBE, the powder XRD pattern of KBPt3 was calculated for Cu Kα (weighted mean of Kα1 and Kα2).

Top 10 peaks for 2θ from 15° to 90°, in order of rising 2θ:
2θ (°)  Rel. int.
32.9  43
34.5  16
36.3  100
41.2  86
44.3  22
48.4  21
57.4  21
61.8  14
67.7  20
71.8  15

Structure:
Lattice parameters (Å, degrees): 8.7065 8.7065 8.7065 34.75 34.75 34.75
Element x y z (fractional)
K: 0.1635 0.1635 0.1635
K: 0.8365 0.8365 0.8365
B: 0.3939 0.3939 0.3939
B: 0.6061 0.6061 0.6061
Pt: 0.0047 0.6141 0.2381
Pt: 0.2381 0.0047 0.6141
Pt: 0.3859 0.7619 0.9953
Pt: 0.6141 0.2381 0.0047
Pt: 0.7619 0.9953 0.3859
Pt: 0.9953 0.3859 0.7619



Starting from a crystal structure in Alexandria, relaxed with GGA-PBE, the powder XRD pattern of K5AgBr4 was calculated for Cu Kα (weighted mean of Kα1 and Kα2).

Top 10 peaks for 2θ from 15° to 90°, in order of rising 2θ:
2θ (°)  Rel. int.
22.8  25
26.4  100
37.6  74
44.4  14
46.5  26
54.3  12
61.3  32
67.9  23
80.3  7
86.3  15

Structure:
Lattice parameters (Å, degrees): 8.2811 8.2811 8.2811 99.58 99.58 131.84
Element x y z (fractional)
K: 0.0000 0.0000 0.0000
K: 0.1898 0.6027 0.7961
K: 0.3937 0.1898 0.5871
K: 0.6027 0.8066 0.4129
K: 0.8066 0.3937 0.2039
Ag: 0.5000 0.5000 0.0000
Br: 0.1008 0.2992 0.4034
Br: 0.2992 0.8958 0.1983
Br: 0.6974 0.1008 0.8017
Br: 0.8958 0.6974 0.5966



Starting from a crystal structure in Alexandria, relaxed with GGA-PBE, the powder XRD pattern of VCoMo was calculated for Cu Kα (weighted mean of Kα1 and Kα2).

Top 10 peaks for 2θ from 15° to 90°, in order of rising 2θ:
2θ (°)  Rel. int.
36.4  51
37.4  58
38.9  100
40.9  32
45.8  63
48.8  47
52.4  61
66.1  21
68.5  25
74.4  25

Structure:
Lattice parameters (Å, degrees): 3.4928 3.4928 6.6230 90.00 90.00 90.00
Element x y z (fractional)
V: 0.2500 0.7500 0.0000
V: 0.7500 0.2500 0.0000
Co: 0.2500 0.2500 0.2637
Co: 0.7500 0.7500 0.7363
Mo: 0.2500 0.2500 0.6342
Mo: 0.7500 0.7500 0.3658